Calculated XRD peak list
Compound: Li4Y3VO8
Radiation: Cu Ka
Structure: a crystal structure in Alexandria, relaxed with PBE+U

Atomic structure:
```
data_Li4Y3VO8
_chemical_formula_sum 'Li8 Y6 V2 O16'
_cell_length_a 6.2124
_cell_length_b 9.9591
_cell_length_c 6.2235
_cell_angle_alpha 90.00
_cell_angle_beta 92.00
_cell_angle_gamma 90.00
_space_group_name_H-M_alt 'C 1 2 1'
_space_group_IT_number 5
loop_
_space_group_symop_operation_xyz
'x,y,z'
'-x,y,-z'
'x+1/2,y+1/2,z'
'-x+1/2,y+1/2,-z'
loop_
_atom_site_label
_atom_site_fract_x
_atom_site_fract_y
_atom_site_fract_z
Li1 0.0000 0.0000 0.0000
Li2 0.0000 0.4862 0.5000
Li3 0.2381 0.1918 0.2458
Y1 0.0000 0.4724 0.0000
Y2 0.2450 0.7333 0.2578
V1 0.0000 0.9769 0.5000
O1 0.0000 0.1852 0.5000
O2 0.0000 0.2413 0.0000
O3 0.0000 0.6961 0.0000
O4 0.0000 0.7681 0.5000
O5 0.2443 0.9689 0.2541
O6 0.2448 0.9984 0.7304
```

Peak list (10 most intense, 2θ = 15–90°, in order of falling intensity)
2theta, intensity, hkl
22.44, 100, 1 1 1
21.78, 91, 1 1 -1
36.07, 48, 0 4 0
34.04, 42, 2 2 0
40.33, 40, 2 0 -2
41.83, 36, 2 0 2
33.98, 28, 0 2 2
46.63, 26, 3 1 -1
55.21, 25, 2 4 -2
33.62, 24, 1 3 -1

=====

Calculated XRD peak list
Compound: LiV2ZnO6
Radiation: Cu Ka
Structure: a crystal structure in Alexandria, relaxed with PBE+U

Atomic structure:
```
data_LiV2ZnO6
_chemical_formula_sum 'Li4 V8 Zn4 O24'
_cell_length_a 11.4709
_cell_length_b 11.6664
_cell_length_c 5.6653
_cell_angle_alpha 90.00
_cell_angle_beta 119.19
_cell_angle_gamma 90.00
_space_group_name_H-M_alt 'C 1 2/c 1'
_space_group_IT_number 15
loop_
_space_group_symop_operation_xyz
'x,y,z'
'-x,-y,-z'
'-x,y,-z+1/2'
'x,-y,z+1/2'
'x+1/2,y+1/2,z'
'-x+1/2,-y+1/2,-z'
'-x+1/2,y+1/2,-z+1/2'
'x+1/2,-y+1/2,z+1/2'
loop_
_atom_site_label
_atom_site_fract_x
_atom_site_fract_y
_atom_site_fract_z
Li1 0.0000 0.2450 0.2500
V1 0.2466 0.4093 0.2697
Zn1 0.0000 0.2465 0.7500
O1 0.1034 0.3258 0.0969
O2 0.1041 0.1660 0.6102
O3 0.2429 0.4755 0.5539
```

Peak list (10 most intense, 2θ = 15–90°, in order of falling intensity)
2theta, intensity, hkl
23.62, 100, 0 2 1
23.41, 88, 2 2 0
17.40, 20, 1 1 -1
27.83, 20, 1 3 -1
25.01, 19, 3 1 -1
44.59, 19, 2 4 -2
24.85, 17, 1 1 1
35.62, 13, 2 4 0
35.87, 12, 4 0 0
44.16, 10, 2 4 1

=====

Calculated XRD peak list
Compound: Li2VZnO4
Radiation: Cu Ka
Structure: a crystal structure in Alexandria, relaxed with PBE+U

Atomic structure:
```
data_Li2VZnO4
_chemical_formula_sum 'Li4 V2 Zn2 O8'
_cell_length_a 4.5729
_cell_length_b 4.5729
_cell_length_c 8.7921
_cell_angle_alpha 90.00
_cell_angle_beta 90.00
_cell_angle_gamma 90.00
_space_group_name_H-M_alt 'I -4 2 m'
_space_group_IT_number 121
_space_group_name_Hall 'I -4 2'
loop_
_atom_site_label
_atom_site_fract_x
_atom_site_fract_y
_atom_site_fract_z
Li1 0.0000 0.5000 0.2500
V1 0.0000 0.0000 0.0000
Zn1 0.0000 0.0000 0.5000
O1 0.2350 0.2350 0.1164
```

Peak list (10 most intense, 2θ = 15–90°, in order of falling intensity)
2theta, intensity, hkl
34.43, 100, 1 1 2
20.20, 64, 0 0 2
27.59, 52, 1 1 0
58.22, 32, 2 0 4
44.67, 23, 2 0 2
68.28, 22, 3 1 2
50.19, 18, 1 1 4
56.96, 17, 2 2 0
61.07, 11, 2 2 2
70.57, 10, 1 1 6

=====

Calculated XRD peak list
Compound: LiZrV2O8
Radiation: Cu Ka
Structure: a crystal structure in Alexandria, relaxed with PBE+U

Atomic structure:
```
data_LiZrV2O8
_chemical_formula_sum 'Li2 Zr2 V4 O16'
_cell_length_a 6.9624
_cell_length_b 6.9624
_cell_length_c 6.2031
_cell_angle_alpha 90.00
_cell_angle_beta 90.00
_cell_angle_gamma 90.00
_space_group_name_H-M_alt 'I -4 m 2'
_space_group_IT_number 119
_space_group_name_Hall 'I -4 -2'
loop_
_atom_site_label
_atom_site_fract_x
_atom_site_fract_y
_atom_site_fract_z
Li1 0.0000 0.0000 0.0000
Zr1 0.0000 0.5000 0.2500
V1 0.0000 0.0000 0.5000
V2 0.0000 0.5000 0.7500
O1 0.0000 0.2030 0.3388
O2 0.0000 0.3120 0.9359
```

Peak list (10 most intense, 2θ = 15–90°, in order of falling intensity)
2theta, intensity, hkl
25.59, 100, 2 0 0
34.17, 59, 1 1 2
50.86, 56, 3 1 2
18.02, 45, 1 1 0
19.16, 39, 1 0 1
32.17, 24, 2 1 1
38.89, 22, 2 0 2
52.58, 19, 4 0 0
64.21, 18, 3 3 2
59.36, 10, 4 2 0

=====

Calculated XRD peak list
Compound: Li3W8O24
Radiation: Cu Ka
Structure: a crystal structure in Alexandria, relaxed with PBE+U

Atomic structure:
```
data_Li3W8O24
_chemical_formula_sum 'Li3 W8 O24'
_cell_length_a 7.5808
_cell_length_b 7.5808
_cell_length_c 7.5808
_cell_angle_alpha 90.00
_cell_angle_beta 90.00
_cell_angle_gamma 90.00
_space_group_name_H-M_alt 'P m -3'
_space_group_IT_number 200
_space_group_name_Hall '-P 2 2 3'
loop_
_atom_site_label
_atom_site_fract_x
_atom_site_fract_y
_atom_site_fract_z
Li1 0.0000 0.0000 0.5000
W1 0.2504 0.2504 0.2504
O1 0.0000 0.2929 0.1985
O2 0.2107 0.2885 0.5000
```

Peak list (10 most intense, 2θ = 15–90°, in order of falling intensity)
2theta, intensity, hkl
23.47, 100, 2 0 0
33.43, 61, 2 2 0
54.10, 42, 4 2 0
59.76, 28, 4 2 2
48.00, 18, 4 0 0
75.20, 18, 4 4 2
41.25, 17, 2 2 2
80.06, 11, 6 2 0
70.24, 10, 4 4 0
84.84, 10, 6 2 2

=====

Calculated XRD peak list
Compound: Li2WO6
Radiation: Cu Ka
Structure: a crystal structure in Alexandria, relaxed with PBE+U

Atomic structure:
```
data_Li2WO6
_chemical_formula_sum 'Li4 W2 O12'
_cell_length_a 4.7959
_cell_length_b 4.7959
_cell_length_c 9.2872
_cell_angle_alpha 90.00
_cell_angle_beta 90.00
_cell_angle_gamma 90.00
_space_group_name_H-M_alt 'P 42/m n m'
_space_group_IT_number 136
_space_group_name_Hall '-P 4n 2n'
loop_
_atom_site_label
_atom_site_fract_x
_atom_site_fract_y
_atom_site_fract_z
Li1 0.0000 0.0000 0.1615
W1 0.0000 0.0000 0.5000
O1 0.1991 0.1991 0.3485
O2 0.2163 0.2163 0.0000
```

Peak list (10 most intense, 2θ = 15–90°, in order of falling intensity)
2theta, intensity, hkl
20.85, 100, 1 0 1
26.28, 35, 1 1 0
19.11, 33, 0 0 2
32.70, 31, 1 1 2
43.30, 28, 2 1 1
51.86, 24, 2 1 3
34.48, 23, 1 0 3
42.42, 13, 2 0 2
47.46, 11, 1 1 4
64.65, 9, 3 1 2

=====

Calculated XRD peak list
Compound: Li3W8O24
Radiation: Cu Ka
Structure: a crystal structure in Alexandria, relaxed with PBE+U

Atomic structure:
```
data_Li3W8O24
_chemical_formula_sum 'Li3 W8 O24'
_cell_length_a 7.5634
_cell_length_b 7.5756
_cell_length_c 7.6133
_cell_angle_alpha 90.00
_cell_angle_beta 90.00
_cell_angle_gamma 90.00
_space_group_name_H-M_alt 'P m m m'
_space_group_IT_number 47
loop_
_space_group_symop_operation_xyz
'x,y,z'
'-x,-y,-z'
'-x,-y,z'
'x,y,-z'
'x,-y,-z'
'-x,y,z'
'-x,y,-z'
'x,-y,z'
loop_
_atom_site_label
_atom_site_fract_x
_atom_site_fract_y
_atom_site_fract_z
Li1 0.0000 0.0000 0.0000
Li2 0.0000 0.5000 0.5000
Li3 0.5000 0.0000 0.0000
W1 0.2509 0.2504 0.2511
O1 0.0000 0.2008 0.2043
O2 0.1978 0.2895 0.5000
O3 0.2092 0.5000 0.2126
O4 0.2890 0.0000 0.2890
O5 0.2982 0.2073 0.0000
O6 0.5000 0.2915 0.2879
```

Peak list (10 most intense, 2θ = 15–90°, in order of falling intensity)
2theta, intensity, hkl
23.51, 100, 0 2 0
33.39, 62, 2 0 2
23.37, 51, 0 0 2
54.14, 32, 4 0 2
33.48, 31, 2 2 0
59.80, 29, 2 4 2
41.24, 26, 2 2 2
53.92, 21, 2 0 4
48.08, 18, 0 4 0
75.11, 15, 2 4 4

=====

Calculated XRD peak list
Compound: Li3W8O24
Radiation: Cu Ka
Structure: a crystal structure in Alexandria, relaxed with PBE+U

Atomic structure:
```
data_Li3W8O24
_chemical_formula_sum 'Li6 W16 O48'
_cell_length_a 10.6944
_cell_length_b 7.5662
_cell_length_c 10.8253
_cell_angle_alpha 90.00
_cell_angle_beta 90.20
_cell_angle_gamma 90.00
_space_group_name_H-M_alt 'C 1 2/m 1'
_space_group_IT_number 12
loop_
_space_group_symop_operation_xyz
'x,y,z'
'-x,-y,-z'
'-x,y,-z'
'x,-y,z'
'x+1/2,y+1/2,z'
'-x+1/2,-y+1/2,-z'
'-x+1/2,y+1/2,-z'
'x+1/2,-y+1/2,z'
loop_
_atom_site_label
_atom_site_fract_x
_atom_site_fract_y
_atom_site_fract_z
Li1 0.0000 0.0000 0.0000
Li2 0.2444 0.0000 0.7504
W1 0.0024 0.2532 0.2531
W2 0.2500 0.2500 0.0000
W3 0.2500 0.2500 0.5000
O1 0.0050 0.5000 0.7948
O2 0.0074 0.0000 0.2834
O3 0.1005 0.2852 0.6107
O4 0.1023 0.2030 0.0989
O5 0.1500 0.2014 0.8531
O6 0.1534 0.2995 0.3403
O7 0.2086 0.5000 0.9964
O8 0.2144 0.0000 0.4908
```

Peak list (10 most intense, 2θ = 15–90°, in order of falling intensity)
2theta, intensity, hkl
23.39, 100, 2 0 2
33.41, 60, 2 2 2
23.52, 49, 0 2 0
54.09, 26, 6 0 -2
33.10, 16, 0 0 4
33.52, 16, 4 0 0
54.19, 16, 2 4 2
59.91, 14, 4 4 0
41.00, 13, 0 2 4
41.35, 13, 4 2 0